This entry pairs a crystal structure of Lu2AlC with its simulated PXRD pattern. Radiation: Cu Kα. Structure: DFT lattice parameters and positions (GGA-PBE).
Kinematic intensities with the Lorentz-polarization factor, no thermal factor.

Peak list (10 most intense, 10 to 90 degrees two-theta, sorted by position)
(0 0 3), 2θ = 11.42°, d = 7.751 Å, rel. 91; (0 1 2), 2θ = 30.70°, d = 2.912 Å, rel. 100; (1 0 4), 2θ = 33.54°, d = 2.672 Å, rel. 91; (0 0 9), 2θ = 34.72°, d = 2.584 Å, rel. 38; (0 1 5), 2θ = 35.54°, d = 2.526 Å, rel. 62; (1 0 7), 2θ = 40.45°, d = 2.230 Å, rel. 53; (1 1 0), 2θ = 52.71°, d = 1.737 Å, rel. 39; (0 1 11), 2θ = 52.94°, d = 1.730 Å, rel. 26; (0 2 4), 2θ = 63.98°, d = 1.455 Å, rel. 26; (1 1 9), 2θ = 64.67°, d = 1.441 Å, rel. 39

```
data_Lu2AlC
_cell_length_a 3.4734
_cell_length_b 3.4734
_cell_length_c 23.2544
_cell_angle_alpha 90.00
_cell_angle_beta 90.00
_cell_angle_gamma 120.00
_space_group_name_H-M_alt 'R -3 m'
_space_group_IT_number 166
_space_group_name_Hall '-R 3 2"'
loop_
_atom_site_label
_atom_site_fract_x
_atom_site_fract_y
_atom_site_fract_z
_atom_site_occupancy
Lu1 0.0000 0.0000 0.2232 1
Al1 0.0000 0.0000 0.0000 1
C1 0.0000 0.0000 0.5000 1
```